Record 1
For Mn2NbV, the PBE geometry in Alexandria gives the simulated PXRD pattern in this record (Cu Kα (weighted mean of Kα1 and Kα2)).

Structure:
```
Mn2NbV
1.0
4.2177 0.0000 0.0000
0.0000 2.9814 0.0000
0.0000 0.0000 8.4103
Mn Nb V
4 2 2
direct
0.2500 0.0000 0.1141
0.2500 0.0000 0.6354
0.7500 0.0000 0.3646
0.7500 0.0000 0.8859
0.2500 0.5000 0.3679
0.7500 0.5000 0.6321
0.2500 0.5000 0.8824
0.7500 0.5000 0.1176
```

Main lines, sorted by position (2θ = 15–90°):
| 2θ/deg | d (Å) | I_rel |
| --- | --- | --- |
| 31.90 | 2.806 | 42 |
| 42.92 | 2.107 | 1000 |
| 43.02 | 2.103 | 191 |
| 62.34 | 1.490 | 179 |
| 78.62 | 1.217 | 236 |
| 78.78 | 1.215 | 107 |

***

Record 2
For CeTmSc2Ru4, the PBE geometry in Alexandria gives the simulated PXRD pattern in this record (Cu Kα (weighted mean of Kα1 and Kα2)).

Structure:
```
CeTmSc2Ru4
1.0
2.3415 1.3518 7.5841
-2.3415 1.3518 7.5841
0.0000 -2.7037 7.5841
Ce Tm Sc Ru
1 1 2 4
direct
0.0000 0.0000 0.0000
0.5000 0.5000 0.5000
0.2465 0.2465 0.2465
0.7535 0.7535 0.7535
0.1220 0.1220 0.1220
0.3727 0.3727 0.3727
0.6273 0.6273 0.6273
0.8780 0.8780 0.8780
```

Main lines, sorted by position (2θ = 15–90°):
| 2θ/deg | d (Å) | I_rel |
| --- | --- | --- |
| 23.29 | 3.820 | 263 |
| 38.45 | 2.341 | 1000 |
| 38.67 | 2.329 | 971 |
| 55.67 | 1.651 | 330 |
| 69.54 | 1.352 | 168 |
| 69.69 | 1.349 | 331 |

***

Record 3
For RbLiPr2S4, the PBE geometry in Alexandria gives the simulated PXRD pattern in this record (Cu Kα (weighted mean of Kα1 and Kα2)).

Structure:
```
RbLiPr2S4
1.0
2.1063 -7.0658 0.0000
2.1063 7.0658 0.0000
0.0000 0.0000 14.4314
Rb Li Pr S
2 2 4 8
direct
0.1053 0.8947 0.7500
0.8947 0.1053 0.2500
0.1675 0.8325 0.2500
0.8325 0.1675 0.7500
0.3661 0.6339 0.5600
0.3661 0.6339 0.9400
0.6339 0.3661 0.0600
0.6339 0.3661 0.4400
0.0000 0.0000 0.0000
0.0000 0.0000 0.5000
0.2593 0.7407 0.1085
0.2593 0.7407 0.3915
0.4191 0.5809 0.7500
0.5809 0.4191 0.2500
0.7407 0.2593 0.6085
0.7407 0.2593 0.8915
```

Main lines, sorted by position (2θ = 15–90°):
| 2θ/deg | d (Å) | I_rel |
| --- | --- | --- |
| 22.36 | 3.976 | 1000 |
| 25.25 | 3.528 | 655 |
| 29.10 | 3.068 | 550 |
| 31.06 | 2.879 | 600 |
| 38.34 | 2.348 | 472 |
| 42.90 | 2.108 | 590 |

***

Record 4
For PmY2S2, the PBE geometry in Alexandria gives the simulated PXRD pattern in this record (Cu Kα (weighted mean of Kα1 and Kα2)).

Structure:
```
PmY2S2
1.0
1.9440 1.1224 9.6011
-1.9440 1.1224 9.6011
0.0000 -2.2448 9.6011
Pm Y S
1 2 2
direct
0.0000 0.0000 0.0000
0.2170 0.2170 0.2170
0.7830 0.7830 0.7830
0.3936 0.3936 0.3936
0.6064 0.6064 0.6064
```

Main lines, sorted by position (2θ = 15–90°):
| 2θ/deg | d (Å) | I_rel |
| --- | --- | --- |
| 27.88 | 3.200 | 205 |
| 29.28 | 3.050 | 364 |
| 30.76 | 2.907 | 1000 |
| 41.25 | 2.189 | 281 |
| 46.73 | 1.944 | 347 |
| 55.29 | 1.662 | 186 |

***

Record 5
For Na2LiCaFe, the PBE geometry in Alexandria gives the simulated PXRD pattern in this record (Cu Kα (weighted mean of Kα1 and Kα2)).

Structure:
```
Na2LiCaFe
1.0
5.6172 0.0000 0.0000
0.0000 5.6172 0.0000
0.0000 0.0000 5.4052
Na Li Ca Fe
2 1 1 1
direct
0.0000 0.5000 0.0000
0.5000 0.0000 0.0000
0.0000 0.0000 0.5000
0.5000 0.5000 0.5000
0.5000 0.5000 0.0000
```

Main lines, sorted by position (2θ = 15–90°):
| 2θ/deg | d (Å) | I_rel |
| --- | --- | --- |
| 15.78 | 5.617 | 1000 |
| 31.86 | 2.809 | 444 |
| 33.15 | 2.703 | 199 |
| 35.74 | 2.512 | 246 |
| 36.91 | 2.435 | 224 |
| 46.64 | 1.947 | 286 |

***

Record 6
For Ca2Hg5Pd3, the PBE geometry in Alexandria gives the simulated PXRD pattern in this record (Cu Kα (weighted mean of Kα1 and Kα2)).

Structure:
```
Ca2Hg5Pd3
1.0
2.1665 -13.7275 0.0000
2.1665 13.7275 0.0000
0.0000 0.0000 7.6320
Ca Hg Pd
4 10 6
direct
0.0241 0.9759 0.5000
0.3232 0.6768 0.6022
0.6768 0.3232 0.1022
0.9759 0.0241 0.0000
0.1004 0.8996 0.8924
0.2041 0.7959 0.8051
0.2054 0.7946 0.4025
0.3789 0.6211 0.0335
0.4485 0.5515 0.6682
0.5515 0.4485 0.1682
0.6211 0.3789 0.5335
0.7946 0.2054 0.9025
0.7959 0.2041 0.3051
0.8996 0.1004 0.3924
0.1118 0.8882 0.2693
0.2640 0.7360 0.1049
0.4569 0.5431 0.2852
0.5431 0.4569 0.7852
0.7360 0.2640 0.6049
0.8882 0.1118 0.7693
```

Main lines, sorted by position (2θ = 15–90°):
| 2θ/deg | d (Å) | I_rel |
| --- | --- | --- |
| 31.41 | 2.848 | 703 |
| 32.77 | 2.733 | 862 |
| 32.96 | 2.717 | 986 |
| 40.52 | 2.226 | 762 |
| 41.71 | 2.165 | 1000 |
| 42.37 | 2.133 | 570 |

***

Record 7
For AcPmLu4, the PBE geometry in Alexandria gives the simulated PXRD pattern in this record (Cu Kα (weighted mean of Kα1 and Kα2)).

Structure:
```
AcPmLu4
1.0
0.0000 4.7330 4.7330
4.7330 0.0000 4.7330
4.7330 4.7330 0.0000
Ac Pm Lu
1 1 4
direct
0.0000 0.0000 0.0000
0.2500 0.2500 0.2500
0.1255 0.6248 0.6248
0.6248 0.1255 0.6248
0.6248 0.6248 0.1255
0.6248 0.6248 0.6248
```

Main lines, sorted by position (2θ = 15–90°):
| 2θ/deg | d (Å) | I_rel |
| --- | --- | --- |
| 26.64 | 3.347 | 276 |
| 31.34 | 2.854 | 1000 |
| 32.77 | 2.733 | 389 |
| 50.07 | 1.822 | 366 |
| 54.86 | 1.673 | 318 |
| 77.45 | 1.232 | 231 |

***

Record 8
For ThCdAgN, the PBE geometry in Alexandria gives the simulated PXRD pattern in this record (Cu Kα (weighted mean of Kα1 and Kα2)).

Structure:
```
ThCdAgN
1.0
4.3039 0.0000 0.0000
0.0000 4.3039 0.0000
0.0000 0.0000 9.0785
Th Cd Ag N
2 2 2 2
direct
0.2500 0.2500 0.1157
0.7500 0.7500 0.8843
0.2500 0.7500 0.5000
0.7500 0.2500 0.5000
0.2500 0.2500 0.7049
0.7500 0.7500 0.2951
0.2500 0.7500 0.0000
0.7500 0.2500 0.0000
```

Main lines, sorted by position (2θ = 15–90°):
| 2θ/deg | d (Å) | I_rel |
| --- | --- | --- |
| 28.58 | 3.123 | 1000 |
| 30.99 | 2.885 | 570 |
| 35.51 | 2.528 | 279 |
| 36.29 | 2.475 | 446 |
| 41.99 | 2.152 | 481 |
| 51.58 | 1.772 | 397 |

***

Record 9
For La3Ga3Ru2, the PBE geometry in Alexandria gives the simulated PXRD pattern in this record (Cu Kα (weighted mean of Kα1 and Kα2)).

Structure:
```
La3Ga3Ru2
1.0
7.8074 0.0000 0.0000
0.0000 15.7213 0.0000
0.0000 0.0000 6.0349
La Ga Ru
12 12 8
direct
0.0377 0.1046 0.1019
0.0377 0.3954 0.1019
0.1720 0.2500 0.6240
0.3280 0.7500 0.1240
0.4623 0.6046 0.6019
0.4623 0.8954 0.6019
0.5377 0.1046 0.3981
0.5377 0.3954 0.3981
0.6720 0.2500 0.8760
0.8280 0.7500 0.3760
0.9623 0.6046 0.8981
0.9623 0.8954 0.8981
0.1546 0.0383 0.5918
0.1546 0.4617 0.5918
0.1735 0.7500 0.6115
0.3265 0.2500 0.1115
0.3454 0.5383 0.0918
0.3454 0.9617 0.0918
0.6546 0.0383 0.9082
0.6546 0.4617 0.9082
0.6735 0.7500 0.8885
0.8265 0.2500 0.3885
0.8454 0.5383 0.4082
0.8454 0.9617 0.4082
0.1450 0.6058 0.3758
0.1450 0.8942 0.3758
0.3550 0.1058 0.8758
0.3550 0.3942 0.8758
0.6450 0.6058 0.1242
0.6450 0.8942 0.1242
0.8550 0.1058 0.6242
0.8550 0.3942 0.6242
```

Main lines, sorted by position (2θ = 15–90°):
| 2θ/deg | d (Å) | I_rel |
| --- | --- | --- |
| 29.45 | 3.033 | 574 |
| 32.32 | 2.770 | 1000 |
| 34.20 | 2.622 | 615 |
| 35.67 | 2.517 | 729 |
| 36.23 | 2.480 | 773 |
| 37.64 | 2.390 | 844 |

***

Record 10
For Co3Se, the PBE geometry in Alexandria gives the simulated PXRD pattern in this record (Cu Kα (weighted mean of Kα1 and Kα2)).

Structure:
```
Co3Se
1.0
2.8326 0.0000 0.0000
0.0000 3.3244 0.0000
0.0000 0.0000 5.2086
Co Se
3 1
direct
0.0000 0.0000 0.0000
0.5000 0.5000 0.2360
0.5000 0.5000 0.7640
0.0000 0.0000 0.5000
```

Main lines, sorted by position (2θ = 15–90°):
| 2θ/deg | d (Å) | I_rel |
| --- | --- | --- |
| 41.90 | 2.156 | 1000 |
| 44.18 | 2.050 | 841 |
| 47.42 | 1.917 | 676 |
| 55.27 | 1.662 | 217 |
| 75.74 | 1.256 | 309 |
| 82.84 | 1.165 | 242 |

***

Record 11
For Tb2CoRh, the PBE geometry in Alexandria gives the simulated PXRD pattern in this record (Cu Kα (weighted mean of Kα1 and Kα2)).

Structure:
```
Tb2CoRh
1.0
5.6437 0.0000 0.0000
0.0000 3.9884 0.0000
-2.7442 0.0000 7.3680
Tb Co Rh
4 2 2
direct
0.2101 0.2500 0.4316
0.2116 0.2500 0.9238
0.7884 0.7500 0.0762
0.7899 0.7500 0.5684
0.3526 0.7500 0.7132
0.6474 0.2500 0.2868
0.3554 0.7500 0.2138
0.6446 0.2500 0.7862
```

Main lines, sorted by position (2θ = 15–90°):
| 2θ/deg | d (Å) | I_rel |
| --- | --- | --- |
| 33.10 | 2.707 | 1000 |
| 33.90 | 2.644 | 232 |
| 34.16 | 2.625 | 455 |
| 40.95 | 2.204 | 259 |
| 41.17 | 2.193 | 448 |
| 45.48 | 1.994 | 231 |

***

Record 12
For Ce5Sn3C, the PBE geometry in Alexandria gives the simulated PXRD pattern in this record (Cu Kα (weighted mean of Kα1 and Kα2)).

Structure:
```
Ce5Sn3C
1.0
9.3397 0.0000 0.0000
-4.6698 8.0884 0.0000
0.0000 0.0000 6.3453
Ce Sn C
10 6 2
direct
0.0000 0.2155 0.2500
0.0000 0.7845 0.7500
0.2155 0.0000 0.2500
0.2155 0.2155 0.7500
0.3333 0.6667 0.0000
0.3333 0.6667 0.5000
0.6667 0.3333 0.0000
0.6667 0.3333 0.5000
0.7845 0.0000 0.7500
0.7845 0.7845 0.2500
0.0000 0.3988 0.7500
0.0000 0.6012 0.2500
0.3988 0.0000 0.7500
0.3988 0.3988 0.2500
0.6012 0.0000 0.2500
0.6012 0.6012 0.7500
0.0000 0.0000 0.0000
0.0000 0.0000 0.5000
```

Main lines, sorted by position (2θ = 15–90°):
| 2θ/deg | d (Å) | I_rel |
| --- | --- | --- |
| 29.21 | 3.057 | 335 |
| 32.51 | 2.754 | 1000 |
| 33.23 | 2.696 | 234 |
| 34.17 | 2.624 | 541 |
| 52.62 | 1.739 | 259 |
| 64.68 | 1.441 | 253 |

***

Record 13
For Li8GeAu3, the PBE geometry in Alexandria gives the simulated PXRD pattern in this record (Cu Kα (weighted mean of Kα1 and Kα2)).

Structure:
```
Li8GeAu3
1.0
0.0000 4.3650 6.2352
4.3361 0.0000 6.2352
4.3361 4.3650 0.0000
Li Ge Au
8 1 3
direct
0.1220 0.6329 0.8780
0.1219 0.6350 0.3650
0.3650 0.8781 0.1219
0.3671 0.8780 0.6329
0.6329 0.1220 0.3671
0.6350 0.1219 0.8781
0.8781 0.3650 0.6350
0.8780 0.3671 0.1220
0.0000 0.0000 0.0000
0.2500 0.2500 0.2500
0.5000 0.5000 0.5000
0.7500 0.7500 0.7500
```

Main lines, sorted by position (2θ = 15–90°):
| 2θ/deg | d (Å) | I_rel |
| --- | --- | --- |
| 24.90 | 3.576 | 1000 |
| 25.01 | 3.560 | 991 |
| 29.03 | 3.076 | 604 |
| 41.23 | 2.190 | 610 |
| 48.54 | 1.875 | 340 |
| 48.95 | 1.861 | 332 |